For TbSmB2P2Ir2, a cell relaxed with GGA-PBE gives the computed powder XRD pattern in this record (copper Kα).

Crystal structure
```
data_TbSmB2P2Ir2
_chemical_formula_sum 'Tb1 Sm1 B2 P2 Ir2'
_cell_length_a 3.9658
_cell_length_b 3.9658
_cell_length_c 8.3585
_cell_angle_alpha 90.00
_cell_angle_beta 90.00
_cell_angle_gamma 90.00
_symmetry_space_group_name_H-M 'P 4 m m'
_symmetry_Int_Tables_number 99
loop_
_symmetry_equiv_pos_as_xyz
'x,y,z'
'-y,x,z'
'-x,-y,z'
'y,-x,z'
'-x,y,z'
'y,x,z'
'x,-y,z'
'-y,-x,z'
loop_
_atom_site_label
_atom_site_type_symbol
_atom_site_fract_x
_atom_site_fract_y
_atom_site_fract_z
Tb1 Tb 0.0000 0.0000 0.0000
Sm1 Sm 0.5000 0.5000 0.3889
B1 B 0.0000 0.0000 0.5805
B2 B 0.5000 0.5000 0.8051
P1 P 0.0000 0.0000 0.3405
P2 P 0.5000 0.5000 0.0428
Ir1 Ir 0.0000 0.5000 0.6941
```

Peak list (10 most intense, 15 to 90 degrees two-theta, in order of rising 2θ)
24.9 deg, I = 40, (1 0 1)
32.1 deg, I = 50, (0 0 3)
33.7 deg, I = 94, (1 1 1)
38.7 deg, I = 100, (1 1 2)
45.8 deg, I = 45, (2 0 0)
57.0 deg, I = 40, (2 0 3)
64.9 deg, I = 27, (1 1 5)
76.0 deg, I = 17, (2 2 3)
76.9 deg, I = 18, (3 1 1)
79.9 deg, I = 25, (3 1 2)

=====

For Pm2B4Ir5, a cell relaxed with GGA-PBE gives the computed powder XRD pattern in this record (copper Kα).

Crystal structure
```
data_Pm2B4Ir5
_chemical_formula_sum 'Pm8 B16 Ir20'
_cell_length_a 5.5399
_cell_length_b 9.9642
_cell_length_c 11.3994
_cell_angle_alpha 90.00
_cell_angle_beta 90.00
_cell_angle_gamma 90.00
_symmetry_space_group_name_H-M 'F m m m'
_symmetry_Int_Tables_number 69
_symmetry_space_group_name_Hall '-F 2 2'
loop_
_atom_site_label
_atom_site_type_symbol
_atom_site_fract_x
_atom_site_fract_y
_atom_site_fract_z
Pm1 Pm 0.0000 0.0000 0.1419
B1 B 0.0000 0.1580 0.3681
Ir1 Ir 0.0000 0.0000 0.5000
Ir2 Ir 0.2500 0.2500 0.0000
Ir3 Ir 0.2500 0.2500 0.2500
```

Peak list (10 most intense, 15 to 90 degrees two-theta, in order of rising 2θ)
29.9 deg, I = 45, (1 1 3)
31.4 deg, I = 21, (0 0 4)
36.1 deg, I = 54, (0 4 0)
36.3 deg, I = 48, (0 2 4)
37.1 deg, I = 100, (2 2 0)
39.5 deg, I = 26, (1 3 3)
45.7 deg, I = 28, (2 0 4)
49.4 deg, I = 28, (2 2 4)
59.5 deg, I = 23, (2 4 4)
65.5 deg, I = 29, (2 6 0)

=====

For Pr2B4Ir3Pt2, a cell relaxed with GGA-PBE gives the computed powder XRD pattern in this record (copper Kα).

Crystal structure
```
data_Pr2B4Ir3Pt2
_chemical_formula_sum 'Pr8 B16 Ir12 Pt8'
_cell_length_a 5.5111
_cell_length_b 10.4990
_cell_length_c 11.2315
_cell_angle_alpha 90.00
_cell_angle_beta 90.00
_cell_angle_gamma 90.00
_symmetry_space_group_name_H-M 'F m m m'
_symmetry_Int_Tables_number 69
_symmetry_space_group_name_Hall '-F 2 2'
loop_
_atom_site_label
_atom_site_type_symbol
_atom_site_fract_x
_atom_site_fract_y
_atom_site_fract_z
Pr1 Pr 0.0000 0.0000 0.1492
B1 B 0.0000 0.1524 0.3638
Ir1 Ir 0.0000 0.0000 0.5000
Ir2 Ir 0.2500 0.2500 0.2500
Pt1 Pt 0.2500 0.2500 0.0000
```

Peak list (10 most intense, 15 to 90 degrees two-theta, in order of rising 2θ)
30.1 deg, I = 44, (1 1 3)
31.9 deg, I = 23, (0 0 4)
34.2 deg, I = 60, (0 4 0)
36.3 deg, I = 45, (0 2 4)
36.8 deg, I = 100, (2 2 0)
38.8 deg, I = 27, (1 3 3)
46.2 deg, I = 25, (2 0 4)
49.5 deg, I = 31, (2 2 4)
58.7 deg, I = 22, (2 4 4)
62.9 deg, I = 24, (2 6 0)

=====

For Pr2B4IrPt4, a cell relaxed with GGA-PBE gives the computed powder XRD pattern in this record (copper Kα).

Crystal structure
```
data_Pr2B4IrPt4
_chemical_formula_sum 'Pr8 B16 Ir4 Pt16'
_cell_length_a 5.4195
_cell_length_b 9.8379
_cell_length_c 12.4503
_cell_angle_alpha 90.00
_cell_angle_beta 90.00
_cell_angle_gamma 90.00
_symmetry_space_group_name_H-M 'F m m m'
_symmetry_Int_Tables_number 69
_symmetry_space_group_name_Hall '-F 2 2'
loop_
_atom_site_label
_atom_site_type_symbol
_atom_site_fract_x
_atom_site_fract_y
_atom_site_fract_z
Pr1 Pr 0.0000 0.0000 0.1414
B1 B 0.0000 0.1547 0.3704
Ir1 Ir 0.0000 0.0000 0.5000
Pt1 Pt 0.2500 0.2500 0.0000
Pt2 Pt 0.2500 0.2500 0.2500
```

Peak list (10 most intense, 15 to 90 degrees two-theta, in order of rising 2θ)
28.6 deg, I = 51, (1 1 3)
28.7 deg, I = 30, (0 0 4)
34.1 deg, I = 60, (0 2 4)
36.5 deg, I = 54, (0 4 0)
37.9 deg, I = 100, (2 2 0)
38.7 deg, I = 27, (1 3 3)
44.3 deg, I = 32, (2 0 4)
48.2 deg, I = 34, (2 2 4)
58.7 deg, I = 25, (2 4 4)
72.6 deg, I = 26, (2 2 8)

=====

For Sm2B4IrPt4, a cell relaxed with GGA-PBE gives the computed powder XRD pattern in this record (copper Kα).

Crystal structure
```
data_Sm2B4IrPt4
_chemical_formula_sum 'Sm8 B16 Ir4 Pt16'
_cell_length_a 5.3833
_cell_length_b 9.6799
_cell_length_c 12.4299
_cell_angle_alpha 90.00
_cell_angle_beta 90.00
_cell_angle_gamma 90.00
_symmetry_space_group_name_H-M 'F m m m'
_symmetry_Int_Tables_number 69
_symmetry_space_group_name_Hall '-F 2 2'
loop_
_atom_site_label
_atom_site_type_symbol
_atom_site_fract_x
_atom_site_fract_y
_atom_site_fract_z
Sm1 Sm 0.0000 0.0000 0.1406
B1 B 0.0000 0.1513 0.3689
Ir1 Ir 0.0000 0.0000 0.5000
Pt1 Pt 0.2500 0.2500 0.0000
Pt2 Pt 0.2500 0.2500 0.2500
```

Peak list (10 most intense, 15 to 90 degrees two-theta, in order of rising 2θ)
28.7 deg, I = 81, (0 0 4)
34.3 deg, I = 62, (0 2 4)
37.2 deg, I = 53, (0 4 0)
38.3 deg, I = 100, (2 2 0)
39.1 deg, I = 27, (1 3 3)
44.5 deg, I = 33, (2 0 4)
48.5 deg, I = 31, (2 2 4)
59.3 deg, I = 25, (2 4 4)
67.7 deg, I = 20, (2 6 0)
73.0 deg, I = 28, (2 2 8)

=====

For Y2B4IrPt4, a cell relaxed with GGA-PBE gives the computed powder XRD pattern in this record (copper Kα).

Crystal structure
```
data_Y2B4IrPt4
_chemical_formula_sum 'Y8 B16 Ir4 Pt16'
_cell_length_a 5.3609
_cell_length_b 9.5776
_cell_length_c 12.3779
_cell_angle_alpha 90.00
_cell_angle_beta 90.00
_cell_angle_gamma 90.00
_symmetry_space_group_name_H-M 'F m m m'
_symmetry_Int_Tables_number 69
_symmetry_space_group_name_Hall '-F 2 2'
loop_
_atom_site_label
_atom_site_type_symbol
_atom_site_fract_x
_atom_site_fract_y
_atom_site_fract_z
Y1 Y 0.0000 0.0000 0.1401
B1 B 0.0000 0.1482 0.3674
Ir1 Ir 0.0000 0.0000 0.5000
Pt1 Pt 0.2500 0.2500 0.0000
Pt2 Pt 0.2500 0.2500 0.2500
```

Peak list (10 most intense, 15 to 90 degrees two-theta, in order of rising 2θ)
18.5 deg, I = 39, (0 2 0)
28.9 deg, I = 85, (0 0 4)
34.5 deg, I = 57, (0 2 4)
37.6 deg, I = 52, (0 4 0)
38.5 deg, I = 100, (2 2 0)
44.7 deg, I = 31, (2 0 4)
48.0 deg, I = 31, (0 4 4)
48.8 deg, I = 51, (2 2 4)
59.8 deg, I = 41, (0 0 8)
73.4 deg, I = 30, (2 2 8)

=====

For ScB4Ir, a cell relaxed with GGA-PBE gives the computed powder XRD pattern in this record (copper Kα).

Crystal structure
```
data_ScB4Ir
_chemical_formula_sum 'Sc4 B16 Ir4'
_cell_length_a 5.8638
_cell_length_b 11.3793
_cell_length_c 3.4638
_cell_angle_alpha 90.00
_cell_angle_beta 90.00
_cell_angle_gamma 90.00
_symmetry_space_group_name_H-M 'P b a m'
_symmetry_Int_Tables_number 55
loop_
_symmetry_equiv_pos_as_xyz
'x,y,z'
'-x,-y,-z'
'-x,-y,z'
'x,y,-z'
'x+1/2,-y+1/2,-z'
'-x+1/2,y+1/2,z'
'-x+1/2,y+1/2,-z'
'x+1/2,-y+1/2,z'
loop_
_atom_site_label
_atom_site_type_symbol
_atom_site_fract_x
_atom_site_fract_y
_atom_site_fract_z
Sc1 Sc 0.1325 0.1479 0.0000
B1 B 0.0238 0.6944 0.5000
B2 B 0.1152 0.5484 0.5000
B3 B 0.1328 0.9707 0.5000
B4 B 0.2008 0.8120 0.5000
Ir1 Ir 0.1458 0.4018 0.0000
```

Peak list (10 most intense, 15 to 90 degrees two-theta, in order of rising 2θ)
17.0 deg, I = 65, (1 1 0)
21.8 deg, I = 78, (1 2 0)
25.7 deg, I = 81, (0 0 1)
31.0 deg, I = 27, (1 1 1)
31.5 deg, I = 80, (0 4 0)
33.9 deg, I = 45, (1 2 1)
38.8 deg, I = 48, (2 3 0)
41.1 deg, I = 100, (0 4 1)
44.0 deg, I = 28, (1 4 1)
47.2 deg, I = 74, (2 3 1)

=====

For Sn4B3Ir7, a cell relaxed with GGA-PBE gives the computed powder XRD pattern in this record (copper Kα).

Crystal structure
```
data_Sn4B3Ir7
_chemical_formula_sum 'Sn8 B6 Ir14'
_cell_length_a 9.3725
_cell_length_b 9.3725
_cell_length_c 5.6893
_cell_angle_alpha 90.00
_cell_angle_beta 90.00
_cell_angle_gamma 120.00
_symmetry_space_group_name_H-M 'P 63/m'
_symmetry_Int_Tables_number 176
_symmetry_space_group_name_Hall '-P 6c'
loop_
_atom_site_label
_atom_site_type_symbol
_atom_site_fract_x
_atom_site_fract_y
_atom_site_fract_z
Sn1 Sn 0.0922 0.5897 0.2500
Sn2 Sn 0.3333 0.6667 0.7500
B1 B 0.0373 0.8277 0.7500
Ir1 Ir 0.0000 0.0000 0.0000
Ir2 Ir 0.1234 0.3540 0.5010
```

Peak list (10 most intense, 15 to 90 degrees two-theta, in order of rising 2θ)
29.1 deg, I = 48, (1 2 0)
31.4 deg, I = 20, (0 0 2)
33.2 deg, I = 35, (1 2 1)
33.4 deg, I = 31, (1 0 2)
38.4 deg, I = 49, (2 2 0)
40.1 deg, I = 64, (1 3 0)
43.4 deg, I = 100, (1 2 2)
50.5 deg, I = 23, (2 2 2)
51.8 deg, I = 32, (1 3 2)
72.9 deg, I = 39, (5 1 2)